Record 1
Calculated X-ray powder pattern
Compound: KSrPrWO6
Radiation: copper Kα
Structure: a PBE+U-relaxed structure
Intensities are scaled so that the largest is 100.

Cell and atoms:
```
data_KSrPrWO6
_cell_length_a 8.5980
_cell_length_b 8.5980
_cell_length_c 8.5980
_cell_angle_alpha 90.00
_cell_angle_beta 90.00
_cell_angle_gamma 90.00
_space_group_name_H-M_alt 'F -4 3 m'
_space_group_IT_number 216
_space_group_name_Hall 'F -4 2 3'
loop_
_atom_site_label
_atom_site_fract_x
_atom_site_fract_y
_atom_site_fract_z
_atom_site_occupancy
K1 0.0000 0.0000 0.0000 1
Sr1 0.0000 0.0000 0.5000 1
Pr1 0.2500 0.2500 0.2500 1
W1 0.2500 0.2500 0.7500 1
O1 0.0229 0.2500 0.7500 1
```

Peak list (6 most intense, 10° ≤ 2θ ≤ 90°, sorted by position)
2θ/deg, I_rel
20.66, 35
29.38, 100
42.03, 31
52.11, 40
60.96, 19
84.28, 22


Record 2
Calculated X-ray powder pattern
Compound: LiMn2F6
Radiation: copper Kα
Structure: a PBE+U-relaxed structure
Intensities are scaled so that the largest is 100.

Cell and atoms:
```
data_LiMn2F6
_cell_length_a 5.5900
_cell_length_b 8.9573
_cell_length_c 4.4755
_cell_angle_alpha 90.00
_cell_angle_beta 90.11
_cell_angle_gamma 90.00
_space_group_name_H-M_alt 'C 1 2/m 1'
_space_group_IT_number 12
_space_group_name_Hall '-C 2y'
loop_
_atom_site_label
_atom_site_fract_x
_atom_site_fract_y
_atom_site_fract_z
_atom_site_occupancy
Li1 0.0000 0.0000 0.0000 1
Mn1 0.0000 0.3293 0.5000 1
F1 0.1390 0.5000 0.7187 1
F2 0.1585 0.1686 0.7418 1
```

Peak list (6 most intense, 10° ≤ 2θ ≤ 90°, sorted by position)
2θ/deg, I_rel
18.71, 37
19.84, 100
27.40, 40
37.92, 51
39.73, 67
53.76, 46


Record 3
Calculated X-ray powder pattern
Compound: TiCoO3
Radiation: copper Kα
Structure: a PBE+U-relaxed structure
Intensities are scaled so that the largest is 100.

Cell and atoms:
```
data_TiCoO3
_cell_length_a 5.5493
_cell_length_b 5.8359
_cell_length_c 5.9047
_cell_angle_alpha 89.86
_cell_angle_beta 85.85
_cell_angle_gamma 62.31
_space_group_name_H-M_alt 'P -1'
_space_group_IT_number 2
_space_group_name_Hall '-P 1'
loop_
_atom_site_label
_atom_site_fract_x
_atom_site_fract_y
_atom_site_fract_z
_atom_site_occupancy
Ti1 0.0061 0.1959 0.1410 1
Co1 0.3368 0.5198 0.3150 1
O1 0.1114 0.8340 0.1517 1
O2 0.2671 0.6153 0.6441 1
O3 0.2722 0.2775 0.1459 1
```

Peak list (6 most intense, 10° ≤ 2θ ≤ 90°, sorted by position)
2θ/deg, I_rel
17.17, 55
18.26, 74
22.50, 74
24.56, 100
30.40, 31
30.71, 36


Record 4
Calculated X-ray powder pattern
Compound: Li2Co2P2O9
Radiation: copper Kα
Structure: a PBE+U-relaxed structure
Intensities are scaled so that the largest is 100.

Cell and atoms:
```
data_Li2Co2P2O9
_cell_length_a 4.8374
_cell_length_b 7.1673
_cell_length_c 7.1774
_cell_angle_alpha 69.45
_cell_angle_beta 77.06
_cell_angle_gamma 76.38
_space_group_name_H-M_alt 'P -1'
_space_group_IT_number 2
_space_group_name_Hall '-P 1'
loop_
_atom_site_label
_atom_site_fract_x
_atom_site_fract_y
_atom_site_fract_z
_atom_site_occupancy
Li1 0.1595 0.1317 0.4894 1
Co1 0.3001 0.2417 0.9995 1
P1 0.3154 0.6920 0.7468 1
O1 0.1047 0.7498 0.9240 1
O2 0.2396 0.8321 0.5416 1
O3 0.3234 0.4658 0.7708 1
O4 0.3756 0.2820 0.2376 1
O5 0.5000 0.0000 0.0000 1
```

Peak list (6 most intense, 10° ≤ 2θ ≤ 90°, sorted by position)
2θ/deg, I_rel
13.34, 100
15.66, 55
21.08, 49
26.97, 44
28.06, 32
28.21, 31


Record 5
Calculated X-ray powder pattern
Compound: MgV3CrO10
Radiation: copper Kα
Structure: a PBE+U-relaxed structure
Intensities are scaled so that the largest is 100.

Cell and atoms:
```
data_MgV3CrO10
_cell_length_a 4.9077
_cell_length_b 6.6233
_cell_length_c 6.6525
_cell_angle_alpha 90.18
_cell_angle_beta 92.92
_cell_angle_gamma 94.21
_space_group_name_H-M_alt 'P 1'
_space_group_IT_number 1
_space_group_name_Hall 'P 1'
loop_
_atom_site_label
_atom_site_fract_x
_atom_site_fract_y
_atom_site_fract_z
_atom_site_occupancy
Mg1 0.0000 0.0000 0.0000 1
V1 0.4087 0.7569 0.7654 1
V2 0.4977 0.2517 0.7450 1
V3 0.5922 0.2478 0.2303 1
Cr1 0.5015 0.7515 0.2524 1
O1 0.2578 0.1993 0.1819 1
O2 0.2649 0.0337 0.7616 1
O3 0.2661 0.7664 0.0444 1
O4 0.3245 0.4655 0.7698 1
O5 0.3467 0.7503 0.4775 1
O6 0.6572 0.2513 0.5217 1
O7 0.6726 0.5357 0.2292 1
O8 0.7300 0.9692 0.2335 1
O9 0.7399 0.2374 0.9516 1
O10 0.7431 0.8042 0.8140 1
```

Peak list (6 most intense, 10° ≤ 2θ ≤ 90°, sorted by position)
2θ/deg, I_rel
13.36, 24
18.15, 100
26.84, 36
27.00, 38
31.56, 30
31.78, 27


Record 6
Calculated X-ray powder pattern
Compound: Mg6TiNiO8
Radiation: copper Kα
Structure: a PBE+U-relaxed structure
Intensities are scaled so that the largest is 100.

Cell and atoms:
```
data_Mg6TiNiO8
_cell_length_a 4.2524
_cell_length_b 4.2524
_cell_length_c 8.5977
_cell_angle_alpha 90.00
_cell_angle_beta 90.00
_cell_angle_gamma 90.00
_space_group_name_H-M_alt 'P 4/m m m'
_space_group_IT_number 123
_space_group_name_Hall '-P 4 2'
loop_
_atom_site_label
_atom_site_fract_x
_atom_site_fract_y
_atom_site_fract_z
_atom_site_occupancy
Mg1 0.0000 0.0000 0.0000 1
Mg2 0.0000 0.5000 0.2488 1
Mg3 0.5000 0.5000 0.0000 1
Ti1 0.0000 0.0000 0.5000 1
Ni1 0.5000 0.5000 0.5000 1
O1 0.0000 0.0000 0.2485 1
O2 0.0000 0.5000 0.0000 1
O3 0.0000 0.5000 0.5000 1
O4 0.5000 0.5000 0.2432 1
```

Peak list (6 most intense, 10° ≤ 2θ ≤ 90°, sorted by position)
2θ/deg, I_rel
10.29, 36
36.47, 37
42.04, 52
42.52, 100
61.33, 57
61.70, 28


Record 7
Calculated X-ray powder pattern
Compound: Li3Mn2Ni2O8
Radiation: copper Kα
Structure: a PBE+U-relaxed structure
Intensities are scaled so that the largest is 100.

Cell and atoms:
```
data_Li3Mn2Ni2O8
_cell_length_a 5.7558
_cell_length_b 5.8572
_cell_length_c 5.8603
_cell_angle_alpha 119.55
_cell_angle_beta 90.14
_cell_angle_gamma 119.22
_space_group_name_H-M_alt 'P -1'
_space_group_IT_number 2
_space_group_name_Hall '-P 1'
loop_
_atom_site_label
_atom_site_fract_x
_atom_site_fract_y
_atom_site_fract_z
_atom_site_occupancy
Li1 0.0000 0.0000 0.0000 1
Li2 0.0000 0.0000 0.5000 1
Li3 0.5000 0.5000 0.0000 1
Mn1 0.0000 0.5000 0.5000 1
Mn2 0.5000 0.5000 0.5000 1
Ni1 0.5000 0.0000 0.0000 1
Ni2 0.5000 0.0000 0.5000 1
O1 0.2406 0.5153 0.7234 1
O2 0.2506 0.9396 0.2778 1
O3 0.2535 0.0609 0.7191 1
O4 0.2893 0.4807 0.2831 1
```

Peak list (6 most intense, 10° ≤ 2θ ≤ 90°, sorted by position)
2θ/deg, I_rel
18.37, 66
18.67, 100
35.57, 43
42.94, 51
44.05, 50
44.17, 36


Record 8
Calculated X-ray powder pattern
Compound: PrEuZrCrO6
Radiation: copper Kα
Structure: a PBE+U-relaxed structure
Intensities are scaled so that the largest is 100.

Cell and atoms:
```
data_PrEuZrCrO6
_cell_length_a 8.0839
_cell_length_b 8.0839
_cell_length_c 8.0839
_cell_angle_alpha 90.00
_cell_angle_beta 90.00
_cell_angle_gamma 90.00
_space_group_name_H-M_alt 'F -4 3 m'
_space_group_IT_number 216
_space_group_name_Hall 'F -4 2 3'
loop_
_atom_site_label
_atom_site_fract_x
_atom_site_fract_y
_atom_site_fract_z
_atom_site_occupancy
Pr1 0.0000 0.0000 0.0000 1
Eu1 0.0000 0.0000 0.5000 1
Zr1 0.2500 0.2500 0.7500 1
Cr1 0.2500 0.2500 0.2500 1
O1 0.0060 0.2500 0.2500 1
```

Peak list (6 most intense, 10° ≤ 2θ ≤ 90°, sorted by position)
2θ/deg, I_rel
31.30, 100
38.58, 14
44.85, 31
55.70, 39
65.29, 19
74.19, 17


Record 9
Calculated X-ray powder pattern
Compound: K3NiPCO7
Radiation: copper Kα
Structure: a PBE+U-relaxed structure
Intensities are scaled so that the largest is 100.

Cell and atoms:
```
data_K3NiPCO7
_cell_length_a 5.6341
_cell_length_b 6.8938
_cell_length_c 9.5230
_cell_angle_alpha 90.00
_cell_angle_beta 90.09
_cell_angle_gamma 90.00
_space_group_name_H-M_alt 'P 1 21/m 1'
_space_group_IT_number 11
_space_group_name_Hall '-P 2yb'
loop_
_atom_site_label
_atom_site_fract_x
_atom_site_fract_y
_atom_site_fract_z
_atom_site_occupancy
K1 0.2456 0.0109 0.2958 1
K2 0.2536 0.7500 0.9302 1
Ni1 0.2557 0.2500 0.6527 1
P1 0.2429 0.7500 0.5800 1
C1 0.2470 0.2500 0.9171 1
O1 0.0024 0.7500 0.4991 1
O2 0.0508 0.2500 0.8424 1
O3 0.2438 0.2500 0.0523 1
O4 0.2562 0.5669 0.6761 1
O5 0.4461 0.2500 0.8459 1
O6 0.4524 0.7500 0.4748 1
```

Peak list (6 most intense, 10° ≤ 2θ ≤ 90°, sorted by position)
2θ/deg, I_rel
18.30, 13
25.85, 22
31.82, 100
32.06, 28
32.37, 23
42.92, 30


Record 10
Calculated X-ray powder pattern
Compound: K2Cr2O7
Radiation: copper Kα
Structure: a PBE+U-relaxed structure
Intensities are scaled so that the largest is 100.

Cell and atoms:
```
data_K2Cr2O7
_cell_length_a 16.0441
_cell_length_b 6.7178
_cell_length_c 8.1409
_cell_angle_alpha 90.00
_cell_angle_beta 93.97
_cell_angle_gamma 90.00
_space_group_name_H-M_alt 'C 1 2/m 1'
_space_group_IT_number 12
_space_group_name_Hall '-C 2y'
loop_
_atom_site_label
_atom_site_fract_x
_atom_site_fract_y
_atom_site_fract_z
_atom_site_occupancy
K1 0.1316 0.0000 0.2861 1
K2 0.1460 0.0000 0.7603 1
Cr1 0.1293 0.5000 0.0022 1
Cr2 0.1360 0.5000 0.4343 1
O1 0.0856 0.3000 0.9224 1
O2 0.0979 0.2973 0.5118 1
O3 0.1132 0.5000 0.2181 1
O4 0.2299 0.5000 0.9740 1
O5 0.2383 0.5000 0.4667 1
```

Peak list (6 most intense, 10° ≤ 2θ ≤ 90°, sorted by position)
2θ/deg, I_rel
14.30, 37
22.22, 99
25.91, 25
26.55, 100
29.84, 39
31.55, 36